This entry pairs a crystal structure of CdCoNO with its computed PXRD pattern. Radiation: Cu Kα. Structure: DFT lattice parameters and positions (PBE+U).

Main lines, in order of falling intensity (5° ≤ 2θ ≤ 70°):
two_theta	I (rel.)	(hkl)
34.5	100.0	1 2 1
35.5	48.6	0 0 2
36.2	31.9	2 0 1
31.4	31.9	2 0 0
29.5	29.9	1 2 0
26.7	22.6	1 1 1
54.7	22.2	3 2 0
66.9	21.3	3 2 2
63.1	20.2	1 2 3
48.1	16.9	2 0 2
64.2	16.2	2 0 3
46.8	12.9	1 2 2

Atomic structure:
abc: 5.704 7.161 5.054
angles: 90.00 90.00 90.00
Fractional positions:
Cd  0.057  0.152  0.000
Cd  0.443  0.152  0.500
Cd  0.557  0.848  0.000
Cd  0.943  0.848  0.500
Co  0.087  0.609  0.989
Co  0.413  0.609  0.489
Co  0.587  0.391  0.989
Co  0.913  0.391  0.489
N  0.108  0.579  0.619
N  0.392  0.579  0.119
N  0.608  0.421  0.619
N  0.892  0.421  0.119
O  0.049  0.145  0.539
O  0.451  0.145  0.039
O  0.549  0.855  0.539
O  0.951  0.855  0.039